Structure and theoretical X-ray diffraction stick pattern of Pm5Mo2C4 (a DFT-relaxed cell (PBE, Alexandria); a wavelength of 1.5418 Å).

Crystal structure
Lattice parameters (Å, degrees): 3.891 9.458 13.006 90.00 90.00 90.00
Space group Immm (No. 71)
Unique sites:
Pm 0.000 0.000 0.000
Pm 0.000 0.181 0.359
Mo 0.000 0.500 0.314
C 0.000 0.336 0.500
C 0.000 0.500 0.170

Most intense lines, 10 to 80 degrees two-theta, by intensity:
Position (°2θ)	d/Å	I_rel	(hkl)
30.9	2.896	100.0	1 0 3
29.1	3.064	53.5	0 3 1
46.4	1.956	48.7	1 3 4
36.7	2.450	36.7	1 3 0
30.5	2.928	34.7	1 2 1
35.2	2.550	31.5	0 3 3